Diffraction record for Ho8Co. The X-ray powder pattern is computed, not measured: it uses a cell relaxed with PBE and Cu Ka.
Intensities are scaled so that the largest is 100.

The 10 most intense peaks (15 to 90 degrees two-theta), in order of falling intensity:
d_spacing  Position (°2θ)  I (rel.)
2.814  31.80  100
2.941  30.39  76
2.647  33.87  52
1.538  60.18  46
2.594  34.58  44
2.280  39.52  37
1.600  57.59  28
1.482  62.70  16
1.805  50.56  15
1.853  49.18  14

```
Ho8Co
1.0
8.986 0.000 0.000
-4.493 7.782 0.000
0.000 0.000 3.610
Ho Co
8 1
direct
0.000 0.234 0.000
0.000 0.613 0.500
0.234 0.000 0.000
0.333 0.667 0.000
0.387 0.387 0.500
0.613 0.000 0.500
0.667 0.333 0.000
0.766 0.766 0.000
0.000 0.000 0.500
```